Entry 1:
Structure and theoretical PXRD pattern of Rb2Tl4HgBi3 (a GGA-PBE-relaxed structure; Cu Kα (weighted mean of Kα1 and Kα2)).
Kinematic intensities with the Lorentz-polarization factor, no thermal factor.

a b c (Å): 5.3721 5.3721 13.4793
angles (deg): 90.00 90.00 90.00
Space group P-4m2 (No. 115)
One atom of each set of equivalent atoms:
Rb: 0.0000 0.5000 0.2473 (multiplicity 2)
Tl: 0.0000 0.0000 0.5000 (multiplicity 1)
Tl: 0.0000 0.5000 0.8737 (multiplicity 2)
Tl: 0.5000 0.5000 0.5000 (multiplicity 1)
Hg: 0.5000 0.5000 0.0000 (multiplicity 1)
Bi: 0.0000 0.0000 0.0000 (multiplicity 1)
Bi: 0.0000 0.5000 0.6315 (multiplicity 2)

Main lines, in order of falling intensity (15° ≤ 2θ ≤ 90°):
2theta	I (rel.)	h k l
26.9	100	1 1 2
35.6	97	1 1 4
33.4	89	2 0 0
25.9	53	1 0 3
17.8	43	1 0 1
61.1	42	3 1 4
47.9	33	2 2 0
42.7	28	2 1 3

***

Entry 2:
Structure and theoretical PXRD pattern of HgBiS (a GGA-PBE-relaxed structure; Cu Kα (weighted mean of Kα1 and Kα2)).
Kinematic intensities with the Lorentz-polarization factor, no thermal factor.

a b c (Å): 3.9518 6.9381 7.1035
angles (deg): 100.45 106.06 90.19
Space group P-1 (No. 2)
One atom of each set of equivalent atoms:
Hg: 0.2124 0.3072 0.4281 (multiplicity 2)
Bi: 0.4912 0.7248 0.9802 (multiplicity 2)
S: 0.1193 0.8188 0.2369 (multiplicity 2)

Main lines, in order of falling intensity (15° ≤ 2θ ≤ 90°):
2theta	I (rel.)	h k l
30.2	100	1 0 1
26.2	98	0 2 0
26.6	47	0 0 2
34.5	44	-1 1 2
36.4	42	-1 2 1
37.6	36	1 -2 1
37.7	36	1 2 -2
23.5	28	1 0 -1

***

Entry 3:
Structure and theoretical PXRD pattern of HgBi2S5 (a GGA-PBE-relaxed structure; Cu Kα (weighted mean of Kα1 and Kα2)).
Kinematic intensities with the Lorentz-polarization factor, no thermal factor.

a b c (Å): 5.8631 16.9652 10.7223
angles (deg): 90.00 90.00 90.00
Space group Cmcm (No. 63)
One atom of each set of equivalent atoms:
Hg: 0.0000 0.1656 0.2500 (multiplicity 4)
Bi: 0.0000 0.3418 0.5340 (multiplicity 8)
S: 0.0000 0.1662 0.0271 (multiplicity 8)
S: 0.0000 0.2689 0.7500 (multiplicity 4)
S: 0.0000 0.4915 0.5974 (multiplicity 8)

Main lines, in order of falling intensity (15° ≤ 2θ ≤ 90°):
2theta	I (rel.)	h k l
27.5	100	1 3 2
23.1	59	1 1 2
30.5	54	2 0 0
31.6	45	0 6 0
33.4	41	0 0 4
29.7	38	1 1 3
39.7	37	1 5 3
54.1	31	2 2 5

***

Entry 4:
Structure and theoretical PXRD pattern of HgBi3S6 (a GGA-PBE-relaxed structure; Cu Kα (weighted mean of Kα1 and Kα2)).
Kinematic intensities with the Lorentz-polarization factor, no thermal factor.

a b c (Å): 6.9895 6.9895 19.4162
angles (deg): 90.00 90.00 120.00
Space group R3 (No. 146, hexagonal axes)
One atom of each set of equivalent atoms:
Hg: 0.0000 0.0000 0.0000 (multiplicity 3)
Bi: 0.0000 0.0000 0.2460 (multiplicity 3)
Bi: 0.0000 0.0000 0.5707 (multiplicity 3)
Bi: 0.0000 0.0000 0.7676 (multiplicity 3)
S: 0.0121 0.6504 0.8293 (multiplicity 9)
S: 0.0367 0.3552 0.3343 (multiplicity 9)

Main lines, in order of falling intensity (15° ≤ 2θ ≤ 90°):
2theta	I (rel.)	h k l
25.5	100	1 1 0
23.5	84	1 0 4
44.9	43	3 0 0
43.7	37	3 -1 4
27.3	36	0 1 5
34.9	36	0 2 4
37.9	28	1 1 6
49.7	26	1 1 9

***

Entry 5:
Structure and theoretical PXRD pattern of HgBiS (a GGA-PBE-relaxed structure; Cu Kα (weighted mean of Kα1 and Kα2)).
Kinematic intensities with the Lorentz-polarization factor, no thermal factor.

a b c (Å): 7.9874 7.3239 6.4895
angles (deg): 90.00 108.28 90.00
Space group P2_1/c (No. 14)
One atom of each set of equivalent atoms:
Hg: 0.1990 0.2058 0.3734 (multiplicity 4)
Bi: 0.3748 0.6659 0.0923 (multiplicity 4)
S: 0.1565 0.6009 0.3297 (multiplicity 4)

Main lines, in order of falling intensity (15° ≤ 2θ ≤ 90°):
2theta	I (rel.)	h k l
26.5	100	2 1 0
31.5	91	0 1 2
24.3	51	0 2 0
31.1	43	2 0 -2
28.4	42	0 2 1
40.1	37	2 2 1
18.8	33	0 1 1
39.7	31	0 3 1

***

Entry 6:
Structure and theoretical PXRD pattern of Hg2BiSb (a GGA-PBE-relaxed structure; Cu Kα (weighted mean of Kα1 and Kα2)).
Kinematic intensities with the Lorentz-polarization factor, no thermal factor.

a b c (Å): 3.3933 3.3933 34.6678
angles (deg): 90.00 90.00 120.00
Space group R-3m (No. 166, hexagonal axes)
One atom of each set of equivalent atoms:
Hg: 0.0000 0.0000 0.0853 (multiplicity 6)
Bi: 0.0000 0.0000 0.5000 (multiplicity 3)
Sb: 0.0000 0.0000 0.0000 (multiplicity 3)

Main lines, in order of falling intensity (15° ≤ 2θ ≤ 90°):
2theta	I (rel.)	h k l
30.9	100	0 0 12
63.6	39	1 1 12
33.1	37	0 1 5
40.2	36	1 0 10
35.5	27	1 0 7
54.0	25	1 1 0
30.5	16	1 0 1
48.0	15	0 1 14